Structure and computed XRD peak list of RbZnB2F8 (a PBE-relaxed structure; CuKα).
Kinematic intensities with the Lorentz-polarization factor, no thermal factor.

Crystal structure
abc: 5.2272 5.2272 23.4889
angles: 90.00 90.00 120.00
Space group R-3 (No. 148, hexagonal axes)
Inequivalent atoms, fractional coordinates:
Rb  0.0000  0.0000  0.0000 (multiplicity 3)
Zn  0.0000  0.0000  0.5000 (multiplicity 3)
B  0.0000  0.0000  0.2496 (multiplicity 6)
F  0.0000  0.0000  0.3101 (multiplicity 6)
F  0.0196  0.7532  0.7699 (multiplicity 18)

Top 10 peaks for 2θ = 10–90°, sorted by position:
| 2θ/deg | I_rel | hkl |
| --- | --- | --- |
| 21.03 | 16.3 | 0 1 2 |
| 24.83 | 100.0 | 1 0 4 |
| 34.32 | 34.3 | 1 1 0 |
| 36.23 | 16.7 | 1 1 3 |
| 36.47 | 20.6 | 0 1 8 |
| 40.59 | 15.0 | 2 0 2 |
| 41.55 | 47.4 | 2 -1 6 |
| 42.82 | 11.7 | 0 2 4 |
| 43.40 | 14.0 | 1 0 10 |
| 58.95 | 12.8 | 1 1 12 |